# 1
# Ac4RhAuSe2
Computed XRD peak list, copper Kα. Input: a DFT-relaxed cell (PBE, Alexandria).
No peak broadening, texture or thermal motion is included.

Principal peaks in the range 10 to 90 degrees two-theta, by angle:
- d 3.182, I 100
- d 2.324, I 13
- d 2.314, I 27
- d 2.190, I 24
- d 2.183, I 12
- d 1.800, I 13
- d 1.591, I 12
- d 1.455, I 11

Cell: 7.5957 4.3657 8.2002 Å, 90.00 107.73 90.00°
Space group P2/m (No. 10)
One atom of each set of equivalent atoms:
1 Ac 0.2334 0.0000 0.2286 [2 per cell]
2 Ac 0.2432 0.5000 0.7686 [2 per cell]
3 Rh 0.0000 0.5000 0.0000 [1 per cell]
4 Au 0.5000 0.0000 0.0000 [1 per cell]
5 Se 0.0000 0.0000 0.5000 [1 per cell]
6 Se 0.5000 0.5000 0.5000 [1 per cell]



# 2
# Sr2Ac5Rh2Au2
Computed XRD peak list, copper Kα. Input: a DFT-relaxed cell (PBE, Alexandria).
No peak broadening, texture or thermal motion is included.

Principal peaks in the range 10 to 90 degrees two-theta, by angle:
- d 6.614, I 82
- d 4.913, I 38
- d 3.535, I 50
- d 2.958, I 100
- d 2.700, I 39
- d 2.632, I 39
- d 2.092, I 38
- d 1.966, I 31

Cell: 5.9157 5.9157 26.4543 Å, 90.00 90.00 90.00°
Space group I4/mmm (No. 139)
One atom of each set of equivalent atoms:
1 Sr 0.0000 0.0000 0.2255 [4 per cell]
2 Ac 0.0000 0.0000 0.0000 [2 per cell]
3 Ac 0.0000 0.5000 0.1136 [8 per cell]
4 Rh 0.0000 0.0000 0.1040 [4 per cell]
5 Au 0.0000 0.0000 0.3426 [4 per cell]



# 3
# Ac2Zn4Rh3Au
Computed XRD peak list, copper Kα. Input: a DFT-relaxed cell (PBE, Alexandria).
No peak broadening, texture or thermal motion is included.

Principal peaks in the range 10 to 90 degrees two-theta, by angle:
- d 2.774, I 57
- d 2.658, I 100
- d 2.154, I 50
- d 1.942, I 26
- d 1.702, I 27
- d 1.523, I 17
- d 1.442, I 20
- d 1.322, I 24

Cell: 4.3089 4.3089 10.8749 Å, 90.00 90.00 90.00°
Space group P-4m2 (No. 115)
One atom of each set of equivalent atoms:
1 Ac 0.0000 0.5000 0.2465 [2 per cell]
2 Zn 0.0000 0.0000 0.0000 [1 per cell]
3 Zn 0.0000 0.5000 0.6335 [2 per cell]
4 Zn 0.5000 0.5000 0.0000 [1 per cell]
5 Rh 0.0000 0.5000 0.8676 [2 per cell]
6 Rh 0.5000 0.5000 0.5000 [1 per cell]
7 Au 0.0000 0.0000 0.5000 [1 per cell]



# 4
# Ac6RuAu2
Computed XRD peak list, copper Kα. Input: a DFT-relaxed cell (PBE, Alexandria).
No peak broadening, texture or thermal motion is included.

Principal peaks in the range 10 to 90 degrees two-theta, by angle:
- d 3.391, I 30
- d 3.342, I 29
- d 3.261, I 100
- d 3.223, I 56
- d 3.027, I 43
- d 2.990, I 34
- d 2.510, I 27
- d 1.920, I 44

Cell: 7.3775 8.0114 12.9274 Å, 90.00 120.25 90.00°
Space group P2_1/c (No. 14)
One atom of each set of equivalent atoms:
1 Ac 0.0979 0.0410 0.2479 [4 per cell]
2 Ac 0.2398 0.6871 0.0721 [4 per cell]
3 Ac 0.3775 0.1887 0.0630 [4 per cell]
4 Ru 0.0000 0.0000 0.0000 [2 per cell]
5 Au 0.3274 0.1088 0.7718 [4 per cell]



# 5
# Ac14Ru3Au6
Computed XRD peak list, copper Kα. Input: a DFT-relaxed cell (PBE, Alexandria).
No peak broadening, texture or thermal motion is included.

Principal peaks in the range 10 to 90 degrees two-theta, by angle:
- d 3.527, I 35
- d 3.239, I 100
- d 2.964, I 66
- d 2.916, I 50
- d 2.735, I 61
- d 2.234, I 35
- d 1.976, I 27
- d 1.839, I 24

Cell: 10.9407 10.9407 7.5990 Å, 90.00 90.00 120.00°
Space group P3 (No. 143)
One atom of each set of equivalent atoms:
1 Ac 0.0000 0.0000 0.0000 [1 per cell]
2 Ac 0.0722 0.5359 0.2489 [3 per cell]
3 Ac 0.2073 0.4141 0.7790 [3 per cell]
4 Ac 0.2483 0.1238 0.4407 [3 per cell]
5 Ac 0.4198 0.2101 0.9326 [3 per cell]
6 Ac 0.6667 0.3333 0.4959 [1 per cell]
7 Ru 0.0000 0.0000 0.6402 [1 per cell]
8 Ru 0.3333 0.6667 0.0219 [1 per cell]
9 Ru 0.6667 0.3333 0.1367 [1 per cell]
10 Au 0.1461 0.8529 0.1746 [3 per cell]
11 Au 0.5182 0.0374 0.6629 [3 per cell]



# 6
# AcAu5S4
Computed XRD peak list, copper Kα. Input: a DFT-relaxed cell (PBE, Alexandria).
No peak broadening, texture or thermal motion is included.

Principal peaks in the range 10 to 90 degrees two-theta, by angle:
- d 3.957, I 86
- d 3.742, I 100
- d 3.653, I 60
- d 3.303, I 51
- d 2.967, I 72
- d 2.899, I 51
- d 2.820, I 54
- d 2.691, I 78

Cell: 4.6880 7.4881 7.6703 Å, 71.92 87.03 83.56°
Space group P-1 (No. 2)
One atom of each set of equivalent atoms:
1 Ac 0.0000 0.0000 0.0000 [1 per cell]
2 Au 0.0000 0.0000 0.5000 [1 per cell]
3 Au 0.1797 0.5145 0.7820 [2 per cell]
4 Au 0.4232 0.2482 0.5038 [2 per cell]
5 S 0.1714 0.2336 0.2426 [2 per cell]
6 S 0.4869 0.2398 0.8076 [2 per cell]